The following is a calculated XRD peak list of Sr2DySbO6. It was derived from a cell relaxed with GGA-PBE, using copper Kα.
Neutral-atom scattering factors, no anomalous dispersion.

Peak list (8 most intense, 2θ from 10° to 90°, in order of rising 2θ)
index	2theta	I_rel
1 1 -1	21.32	18.6
0 2 0	30.17	24.6
1 1 -3	30.34	100.0
2 0 -2	30.47	24.1
0 0 4	43.43	41.1
1 3 -3	53.70	18.7
2 0 2	53.85	16.8
3 1 -5	54.13	16.7

Structural model:
```
data_Sr2DySbO6
_space_group_name_H-M_alt 'P 1 21/c 1'
_space_group_IT_number 14
_space_group_name_Hall '-P 2ybc'
_cell_length_a 5.868
_cell_length_b 5.924
_cell_length_c 10.170
_cell_angle_alpha 90.00
_cell_angle_beta 125.02
_cell_angle_gamma 90.00
loop_
_atom_site_label
_atom_site_type_symbol
_atom_site_fract_x
_atom_site_fract_y
_atom_site_fract_z
Sr1 Sr 0.242 0.033 0.249
Dy1 Dy 0.500 0.000 0.000
Sb1 Sb 0.000 0.000 0.500
O1 O 0.156 0.226 0.958
O2 O 0.233 0.700 0.960
O3 O 0.312 0.021 0.736
```